# 1
# TlIn7Ga5
Calculated powder X-ray diffraction pattern, Cu Kα X-rays. Input: a DFT-relaxed cell (GGA-PBE, Alexandria).

Structural model:
Cell lengths 5.479, 10.926, 10.923 Å; angles 90.00, 90.00, 90.00 degrees
Space group Imm2 (No. 44)
Symmetry-distinct sites (fractional):
1 Tl 0.000 0.000 0.000 x2
2 In 0.000 0.000 0.338 x2
3 In 0.000 0.000 0.635 x2
4 In 0.000 0.303 0.494 x4
5 In 0.000 0.352 0.989 x4
6 In 0.000 0.500 0.281 x2
7 Ga 0.000 0.500 0.704 x2
8 Ga 0.249 0.256 0.741 x8

Peak list (12 most intense, 2θ = 10–80°, low angle first)
2θ (°)  I_rel  h k l
29.45  55  1 3 0
32.69  18  2 0 0
32.79  39  0 0 4
33.81  100  1 3 2
36.73  58  2 0 2
37.71  13  1 1 4
40.36  22  2 2 2
48.57  12  0 5 3
59.06  20  3 3 2
59.19  22  1 3 6
59.83  15  0 5 5
61.11  25  2 6 0

# 2
# TlIn9Ga3
Calculated powder X-ray diffraction pattern, Cu Kα X-rays. Input: a DFT-relaxed cell (GGA-PBE, Alexandria).

Structural model:
Cell lengths 5.637, 15.601, 8.110 Å; angles 90.00, 106.16, 90.00 degrees
Space group C2/m (No. 12)
Symmetry-distinct sites (fractional):
1 Tl 0.000 0.000 0.000 x2
2 In 0.000 0.000 0.500 x2
3 In 0.101 0.396 0.203 x8
4 In 0.174 0.179 0.349 x8
5 Ga 0.000 0.500 0.500 x2
6 Ga 0.250 0.250 0.000 x4

Peak list (12 most intense, 2θ = 10–80°, low angle first)
2θ (°)  I_rel  h k l
28.33  52  1 3 1
29.71  61  1 3 -2
31.83  41  2 0 -1
32.35  70  1 1 2
32.49  100  0 4 2
33.14  72  1 5 0
33.55  54  1 5 -1
34.38  46  1 1 -3
35.09  55  2 2 0
36.45  44  0 2 3
36.63  60  2 2 -2
58.61  31  2 6 2

# 3
# TlIn2Ga10
Calculated powder X-ray diffraction pattern, Cu Kα X-rays. Input: a DFT-relaxed cell (GGA-PBE, Alexandria).

Structural model:
Cell lengths 6.001, 13.753, 13.897 Å; angles 90.00, 90.00, 90.00 degrees
Space group Fmmm (No. 69)
Symmetry-distinct sites (fractional):
1 Tl 0.000 0.000 0.000 x4
2 In 0.250 0.250 0.000 x8
3 Ga 0.000 0.101 0.391 x16
4 Ga 0.000 0.172 0.187 x16
5 Ga 0.250 0.000 0.250 x8

Peak list (12 most intense, 2θ = 10–80°, low angle first)
2θ (°)  I_rel  h k l
25.13  15  1 1 3
28.97  17  0 4 2
31.24  49  1 3 3
35.09  100  2 2 2
36.21  56  1 1 5
36.51  44  1 5 1
36.78  56  0 4 4
39.69  15  2 0 4
39.88  20  2 4 0
57.11  27  3 1 5
65.16  27  2 6 6
74.17  14  4 4 4

# 4
# Tl4In3Ga
Calculated powder X-ray diffraction pattern, Cu Kα X-rays. Input: a DFT-relaxed cell (GGA-PBE, Alexandria).

Structural model:
Cell lengths 12.494, 12.494, 5.918 Å; angles 90.00, 90.00, 90.00 degrees
Space group I4/mcm (No. 140)
Symmetry-distinct sites (fractional):
1 Tl 0.089 0.222 0.000 x16
2 In 0.000 0.000 0.250 x4
3 In 0.146 0.354 0.500 x8
4 Ga 0.000 0.500 0.250 x4

Peak list (12 most intense, 2θ = 10–80°, low angle first)
2θ (°)  I_rel  h k l
29.88  100  3 2 1
30.20  30  0 0 2
32.04  55  4 2 0
33.21  79  4 1 1
33.51  27  2 0 2
36.55  26  2 2 2
41.82  23  5 2 1
51.71  20  5 5 0
53.45  20  3 2 3
55.59  19  4 1 3
61.09  26  5 5 2
65.78  16  8 3 1

# 5
# Tl3In6Ga2
Calculated powder X-ray diffraction pattern, Cu Kα X-rays. Input: a DFT-relaxed cell (GGA-PBE, Alexandria).

Structural model:
Cell lengths 3.4523, 3.4523, 85.6641 Å; angles 90.00, 90.00, 120.00 degrees
Space group R-3m (No. 166, hexagonal axes)
Symmetry-distinct sites (fractional):
1 Tl 0.0000 0.0000 0.0000 x3
2 Tl 0.0000 0.0000 0.2678 x6
3 In 0.0000 0.0000 0.0978 x6
4 In 0.0000 0.0000 0.1818 x6
5 In 0.0000 0.0000 0.3661 x6
6 Ga 0.0000 0.0000 0.4581 x6

Peak list (12 most intense, 2θ = 10–80°, low angle first)
2θ (°)  I_rel  h k l
31.06  9  0 1 8
31.33  12  0 0 30
32.07  100  0 1 11
34.55  14  0 0 33
36.05  16  1 0 19
37.94  50  1 0 22
53.05  26  1 1 0
53.51  9  0 1 41
62.92  10  1 1 30
63.35  14  2 0 11
64.87  13  1 1 33
67.04  13  0 2 22

# 6
# Tm2In4Ga
Calculated powder X-ray diffraction pattern, Cu Kα X-rays. Input: a DFT-relaxed cell (GGA-PBE, Alexandria).

Structural model:
Cell lengths 6.085, 9.933, 12.157 Å; angles 90.00, 90.00, 90.00 degrees
Space group Fmmm (No. 69)
Symmetry-distinct sites (fractional):
1 Tm 0.000 0.000 0.139 x8
2 In 0.250 0.250 0.000 x8
3 In 0.250 0.250 0.250 x8
4 Ga 0.000 0.000 0.500 x4

Peak list (12 most intense, 2θ = 10–80°, low angle first)
2θ (°)  I_rel  h k l
18.59  15  1 1 1
27.94  36  1 1 3
34.58  100  2 2 0
36.17  27  0 4 0
38.09  16  1 3 3
42.02  23  2 0 4
53.53  7  1 5 3
56.62  19  2 4 4
60.93  10  4 0 0
64.04  17  2 6 0
72.00  21  2 2 8
72.96  12  4 4 0